1.
Simulated powder XRD pattern
Compound: Ga2SnSbO8
Radiation: Cu Ka
Structure: the GGA-PBE geometry in Alexandria
Neutral-atom scattering factors, no anomalous dispersion.

Main lines, by intensity (10 to 90 degrees two-theta):
| Position (°2θ) | I/Imax |
| --- | --- |
| 34.46 | 100 |
| 26.60 | 68 |
| 27.10 | 66 |
| 52.20 | 45 |
| 52.77 | 44 |
| 66.84 | 28 |
| 38.34 | 27 |
| 18.90 | 16 |
| 39.41 | 13 |
| 59.07 | 12 |
| 54.78 | 12 |
| 55.89 | 11 |

Structural model:
a b c (Å): 4.697 4.697 6.255
angles (deg): 90.00 90.00 91.06
Fractional coordinates of all 12 atoms:
Ga: 0.000 0.000 0.250
Ga: 0.000 0.000 0.750
Sn: 0.500 0.500 0.000
Sb: 0.500 0.500 0.500
O: 0.188 0.188 0.000
O: 0.194 0.194 0.500
O: 0.302 0.698 0.259
O: 0.302 0.698 0.741
O: 0.698 0.302 0.259
O: 0.698 0.302 0.741
O: 0.806 0.806 0.500
O: 0.812 0.812 0.000

---

2.
Simulated powder XRD pattern
Compound: TmGa2SbO8
Radiation: Cu Ka
Structure: the GGA-PBE geometry in Alexandria
Neutral-atom scattering factors, no anomalous dispersion.

Main lines, by intensity (10 to 90 degrees two-theta):
| Position (°2θ) | I/Imax |
| --- | --- |
| 26.32 | 100 |
| 32.99 | 83 |
| 50.85 | 66 |
| 18.79 | 28 |
| 37.57 | 22 |
| 64.92 | 19 |
| 62.70 | 16 |
| 54.18 | 16 |
| 61.22 | 14 |
| 77.50 | 13 |
| 89.48 | 12 |
| 87.49 | 12 |

Structural model:
a b c (Å): 5.813 5.813 5.813
angles (deg): 108.75 108.75 110.92
Fractional coordinates of all 12 atoms:
Tm: 0.000 0.000 0.000
Ga: 0.500 0.500 0.000
Ga: 0.750 0.250 0.500
Sb: 0.250 0.750 0.500
O: 0.306 0.107 0.801
O: 0.306 0.505 0.199
O: 0.362 0.040 0.322
O: 0.495 0.694 0.801
O: 0.718 0.040 0.678
O: 0.893 0.694 0.199
O: 0.960 0.282 0.322
O: 0.960 0.638 0.678

---

3.
Simulated powder XRD pattern
Compound: Sc4GaO
Radiation: Cu Ka
Structure: the GGA-PBE geometry in Alexandria
Neutral-atom scattering factors, no anomalous dispersion.

Main lines, by intensity (10 to 90 degrees two-theta):
| Position (°2θ) | I/Imax |
| --- | --- |
| 34.85 | 100 |
| 35.99 | 81 |
| 37.41 | 45 |
| 39.82 | 45 |
| 55.79 | 29 |
| 45.80 | 29 |
| 62.27 | 21 |
| 72.04 | 21 |
| 39.62 | 13 |
| 69.09 | 12 |
| 59.02 | 12 |
| 73.57 | 12 |

Structural model:
a b c (Å): 8.146 8.146 6.093
angles (deg): 90.00 90.00 147.73
Fractional coordinates of all 12 atoms:
Sc: 0.001 0.999 0.500
Sc: 0.194 0.806 0.990
Sc: 0.195 0.805 0.504
Sc: 0.397 0.603 0.748
Sc: 0.603 0.397 0.248
Sc: 0.805 0.195 0.004
Sc: 0.806 0.194 0.490
Sc: 0.999 0.001 0.000
Ga: 0.397 0.603 0.248
Ga: 0.603 0.397 0.748
O: 0.097 0.903 0.248
O: 0.903 0.097 0.748

---

4.
Simulated powder XRD pattern
Compound: Sc6Ga3O
Radiation: Cu Ka
Structure: the GGA-PBE geometry in Alexandria
Neutral-atom scattering factors, no anomalous dispersion.

Main lines, by intensity (10 to 90 degrees two-theta):
| Position (°2θ) | I/Imax |
| --- | --- |
| 36.01 | 100 |
| 39.22 | 53 |
| 42.13 | 28 |
| 38.54 | 26 |
| 32.86 | 26 |
| 29.92 | 24 |
| 37.98 | 22 |
| 35.20 | 21 |
| 54.47 | 21 |
| 27.23 | 16 |
| 43.65 | 15 |
| 20.71 | 13 |

Structural model:
a b c (Å): 8.407 8.407 5.772
angles (deg): 90.00 90.00 99.37
Fractional coordinates of all 20 atoms:
Sc: 0.085 0.915 0.500
Sc: 0.134 0.548 0.709
Sc: 0.232 0.318 0.186
Sc: 0.306 0.694 0.218
Sc: 0.318 0.232 0.686
Sc: 0.452 0.866 0.709
Sc: 0.548 0.134 0.209
Sc: 0.682 0.768 0.186
Sc: 0.694 0.306 0.718
Sc: 0.768 0.682 0.686
Sc: 0.866 0.452 0.209
Sc: 0.915 0.085 0.000
Ga: 0.003 0.759 0.030
Ga: 0.241 0.997 0.030
Ga: 0.481 0.519 0.913
Ga: 0.519 0.481 0.413
Ga: 0.759 0.003 0.530
Ga: 0.997 0.241 0.530
O: 0.249 0.751 0.544
O: 0.751 0.249 0.044

---

5.
Simulated powder XRD pattern
Compound: Sr2ScGaO5
Radiation: Cu Ka
Structure: the GGA-PBE geometry in Alexandria
Neutral-atom scattering factors, no anomalous dispersion.

Main lines, by intensity (10 to 90 degrees two-theta):
| Position (°2θ) | I/Imax |
| --- | --- |
| 31.86 | 100 |
| 31.11 | 36 |
| 43.68 | 33 |
| 29.89 | 30 |
| 55.82 | 22 |
| 47.63 | 17 |
| 54.32 | 16 |
| 66.58 | 12 |
| 24.43 | 10 |
| 38.23 | 9 |
| 22.94 | 9 |
| 57.96 | 8 |

Structural model:
a b c (Å): 8.694 8.694 8.694
angles (deg): 56.99 139.78 141.38
Fractional coordinates of all 18 atoms:
Sr: 0.022 0.111 0.133
Sr: 0.022 0.389 0.410
Sr: 0.978 0.611 0.590
Sr: 0.978 0.889 0.867
Sc: 0.507 0.007 0.500
Sc: 0.507 0.507 0.000
Ga: 0.403 0.726 0.177
Ga: 0.548 0.226 0.823
O: 0.008 0.266 0.765
O: 0.008 0.743 0.242
O: 0.304 0.900 0.904
O: 0.464 0.174 0.578
O: 0.464 0.386 0.790
O: 0.501 0.243 0.235
O: 0.501 0.766 0.758
O: 0.596 0.674 0.210
O: 0.596 0.886 0.422
O: 0.996 0.400 0.096

---

6.
Simulated powder XRD pattern
Compound: ScGa2TeO8
Radiation: Cu Ka
Structure: the GGA-PBE geometry in Alexandria
Neutral-atom scattering factors, no anomalous dispersion.

Main lines, by intensity (10 to 90 degrees two-theta):
| Position (°2θ) | I/Imax |
| --- | --- |
| 27.20 | 100 |
| 33.39 | 86 |
| 52.13 | 69 |
| 19.12 | 32 |
| 38.83 | 23 |
| 66.88 | 21 |
| 63.22 | 16 |
| 56.11 | 16 |
| 63.45 | 14 |
| 80.14 | 12 |
| 89.53 | 11 |
| 70.12 | 9 |

Structural model:
a b c (Å): 5.686 5.686 5.686
angles (deg): 109.58 109.58 109.25
Fractional coordinates of all 12 atoms:
Sc: 0.000 0.000 0.000
Ga: 0.250 0.750 0.500
Ga: 0.500 0.500 0.000
Te: 0.750 0.250 0.500
O: 0.039 0.355 0.316
O: 0.039 0.723 0.684
O: 0.103 0.301 0.802
O: 0.277 0.961 0.316
O: 0.499 0.301 0.198
O: 0.645 0.961 0.684
O: 0.699 0.501 0.802
O: 0.699 0.897 0.198

---

7.
Simulated powder XRD pattern
Compound: Sc4TlGaO
Radiation: Cu Ka
Structure: the GGA-PBE geometry in Alexandria
Neutral-atom scattering factors, no anomalous dispersion.

Main lines, by intensity (10 to 90 degrees two-theta):
| Position (°2θ) | I/Imax |
| --- | --- |
| 38.08 | 100 |
| 29.44 | 63 |
| 42.12 | 61 |
| 27.34 | 51 |
| 31.79 | 37 |
| 21.53 | 36 |
| 15.75 | 32 |
| 18.77 | 29 |
| 35.76 | 28 |
| 56.41 | 28 |
| 74.29 | 27 |
| 23.62 | 22 |

Structural model:
a b c (Å): 8.121 8.121 6.073
angles (deg): 90.00 90.00 136.15
Fractional coordinates of all 14 atoms:
Sc: 0.000 0.500 0.000
Sc: 0.000 0.500 0.500
Sc: 0.079 0.921 0.750
Sc: 0.411 0.589 0.750
Sc: 0.500 0.000 0.000
Sc: 0.500 0.000 0.500
Sc: 0.589 0.411 0.250
Sc: 0.921 0.079 0.250
Tl: 0.394 0.606 0.250
Tl: 0.606 0.394 0.750
Ga: 0.115 0.885 0.250
Ga: 0.885 0.115 0.750
O: 0.252 0.748 0.750
O: 0.748 0.252 0.250

---

8.
Simulated powder XRD pattern
Compound: ScUGa2O8
Radiation: Cu Ka
Structure: the GGA-PBE geometry in Alexandria
Neutral-atom scattering factors, no anomalous dispersion.

Main lines, by intensity (10 to 90 degrees two-theta):
| Position (°2θ) | I/Imax |
| --- | --- |
| 26.41 | 100 |
| 18.64 | 98 |
| 32.69 | 90 |
| 50.73 | 69 |
| 42.36 | 23 |
| 32.54 | 23 |
| 37.69 | 21 |
| 64.89 | 20 |
| 61.91 | 17 |
| 54.36 | 17 |
| 77.54 | 16 |
| 37.87 | 16 |

Structural model:
a b c (Å): 5.829 5.829 5.829
angles (deg): 109.23 109.23 109.95
Fractional coordinates of all 12 atoms:
Sc: 0.000 0.000 0.000
U: 0.750 0.250 0.500
Ga: 0.250 0.750 0.500
Ga: 0.500 0.500 0.000
O: 0.053 0.360 0.307
O: 0.053 0.746 0.693
O: 0.113 0.310 0.803
O: 0.254 0.947 0.307
O: 0.506 0.310 0.197
O: 0.640 0.947 0.693
O: 0.690 0.494 0.803
O: 0.690 0.887 0.197

---

9.
Simulated powder XRD pattern
Compound: Ga2SeO2
Radiation: Cu Ka
Structure: the GGA-PBE geometry in Alexandria
Neutral-atom scattering factors, no anomalous dispersion.

Main lines, by intensity (10 to 90 degrees two-theta):
| Position (°2θ) | I/Imax |
| --- | --- |
| 17.17 | 100 |
| 32.81 | 88 |
| 28.47 | 68 |
| 34.75 | 49 |
| 44.47 | 47 |
| 52.36 | 46 |
| 58.91 | 29 |
| 27.74 | 26 |
| 57.29 | 21 |
| 54.92 | 20 |
| 61.07 | 19 |
| 43.48 | 15 |

Structural model:
a b c (Å): 6.279 6.279 6.279
angles (deg): 118.38 118.38 92.84
Fractional coordinates of all 10 atoms:
Ga: 0.219 0.000 0.219
Ga: 0.750 0.031 0.281
Ga: 0.750 0.469 0.719
Ga: 0.781 0.000 0.781
Se: 0.322 0.822 0.500
Se: 0.572 0.572 0.000
O: 0.507 0.210 0.297
O: 0.913 0.210 0.703
O: 0.960 0.163 0.203
O: 0.960 0.757 0.797

---

10.
Simulated powder XRD pattern
Compound: TlGaSe2O8
Radiation: Cu Ka
Structure: the GGA-PBE geometry in Alexandria
Neutral-atom scattering factors, no anomalous dispersion.

Main lines, by intensity (10 to 90 degrees two-theta):
| Position (°2θ) | I/Imax |
| --- | --- |
| 28.53 | 100 |
| 22.54 | 68 |
| 35.34 | 45 |
| 20.18 | 35 |
| 46.03 | 28 |
| 59.33 | 26 |
| 45.70 | 19 |
| 54.86 | 18 |
| 30.13 | 13 |
| 63.43 | 12 |
| 56.28 | 11 |
| 42.32 | 11 |

Structural model:
a b c (Å): 5.080 5.080 8.899
angles (deg): 90.00 90.00 120.00
Fractional coordinates of all 12 atoms:
Tl: 0.000 0.000 0.000
Ga: 0.000 0.000 0.500
Se: 0.333 0.667 0.706
Se: 0.667 0.333 0.294
O: 0.054 0.325 0.647
O: 0.271 0.946 0.647
O: 0.325 0.054 0.353
O: 0.333 0.667 0.891
O: 0.667 0.333 0.109
O: 0.675 0.729 0.647
O: 0.729 0.675 0.353
O: 0.946 0.271 0.353

---

11.
Simulated powder XRD pattern
Compound: TlGaSeO6
Radiation: Cu Ka
Structure: the GGA-PBE geometry in Alexandria
Neutral-atom scattering factors, no anomalous dispersion.

Main lines, by intensity (10 to 90 degrees two-theta):
| Position (°2θ) | I/Imax |
| --- | --- |
| 27.58 | 100 |
| 52.62 | 33 |
| 35.45 | 31 |
| 45.49 | 24 |
| 58.96 | 24 |
| 20.25 | 16 |
| 63.64 | 10 |
| 61.88 | 10 |
| 81.67 | 10 |
| 84.22 | 9 |
| 87.07 | 7 |
| 43.05 | 7 |

Structural model:
a b c (Å): 5.065 5.065 4.787
angles (deg): 90.00 90.00 120.00
Fractional coordinates of all 9 atoms:
Tl: 0.000 0.000 0.000
Ga: 0.667 0.333 0.500
Se: 0.333 0.667 0.500
O: 0.021 0.383 0.718
O: 0.021 0.639 0.282
O: 0.361 0.383 0.282
O: 0.361 0.979 0.718
O: 0.617 0.639 0.718
O: 0.617 0.979 0.282

---

12.
Simulated powder XRD pattern
Compound: GaSi2O6
Radiation: Cu Ka
Structure: the GGA-PBE geometry in Alexandria
Neutral-atom scattering factors, no anomalous dispersion.

Main lines, by intensity (10 to 90 degrees two-theta):
| Position (°2θ) | I/Imax |
| --- | --- |
| 18.82 | 100 |
| 24.05 | 93 |
| 34.48 | 46 |
| 24.89 | 45 |
| 26.47 | 23 |
| 42.17 | 12 |
| 58.09 | 11 |
| 54.49 | 10 |
| 47.16 | 10 |
| 39.62 | 10 |
| 61.60 | 9 |
| 59.83 | 8 |

Structural model:
a b c (Å): 7.957 7.957 5.163
angles (deg): 108.87 108.87 93.42
Fractional coordinates of all 18 atoms:
Ga: 0.250 0.750 0.750
Ga: 0.750 0.250 0.250
Si: 0.170 0.330 0.341
Si: 0.330 0.170 0.841
Si: 0.670 0.830 0.159
Si: 0.830 0.670 0.659
O: 0.046 0.729 0.840
O: 0.224 0.277 0.635
O: 0.230 0.547 0.436
O: 0.271 0.954 0.660
O: 0.277 0.224 0.135
O: 0.453 0.770 0.064
O: 0.547 0.230 0.936
O: 0.723 0.776 0.865
O: 0.729 0.046 0.340
O: 0.770 0.453 0.564
O: 0.776 0.723 0.365
O: 0.954 0.271 0.160